Diffraction record for LiP2WO8. The powder diffractogram is theoretical, not measured: it uses a structure optimized by DFT (PBE+U) and Cu Ka.

The 10 most intense peaks (15° ≤ 2θ ≤ 90°), by angle:
hkl	2theta	Rel. int.
0 1 1	16.9	100
1 0 1	19.9	46
1 1 0	20.9	32
1 1 -1	23.7	17
1 1 2	30.7	42
1 2 1	32.6	48
2 0 0	33.4	14
2 1 1	37.6	18
1 0 3	37.8	14
2 2 2	48.5	14

Unit cell a=5.365 b=6.992 c=7.972 alpha=90.00 beta=90.00 gamma=90.00
Atoms (fractional coordinates):
Li (0.062, 0.000, 0.250)
Li (0.938, 0.500, 0.750)
P (0.253, 0.191, 0.566)
P (0.254, 0.807, 0.934)
P (0.746, 0.307, 0.066)
P (0.747, 0.691, 0.434)
W (0.248, 0.499, 0.250)
W (0.752, 0.999, 0.750)
O (0.022, 0.190, 0.691)
O (0.022, 0.807, 0.808)
O (0.246, 0.965, 0.057)
O (0.247, 0.033, 0.442)
O (0.249, 0.397, 0.488)
O (0.249, 0.600, 0.012)
O (0.488, 0.183, 0.685)
O (0.488, 0.815, 0.816)
O (0.512, 0.315, 0.184)
O (0.512, 0.683, 0.315)
O (0.751, 0.100, 0.988)
O (0.751, 0.897, 0.512)
O (0.753, 0.533, 0.558)
O (0.754, 0.465, 0.943)
O (0.978, 0.307, 0.192)
O (0.978, 0.690, 0.309)